1.
Starting from a cell relaxed with GGA+U, the powder diffractogram of Li3FeO4 was calculated for Cu Kα X-rays.
Peak positions follow from Bragg's law for the DFT cell and can differ from measured ones.

Largest 10 diffraction maxima, by angle, 10 to 90 degrees two-theta:
2theta  intensity  h k l
18.45  1000  1 0 1
21.94  246  0 0 2
29.90  113  2 0 0
31.04  97  0 4 0
36.35  243  1 4 1
43.64  452  2 4 0
44.73  201  0 0 4
49.36  94  2 4 2
57.37  98  3 4 1
64.27  217  2 4 4

Crystal structure
a b c (Å): 5.9765 11.5229 8.1038
angles (deg): 90.00 90.00 90.00
Space group Imm2 (No. 44)
Symmetry-distinct sites (fractional):
1 Li 0.0000 0.1199 0.0000
2 Li 0.0000 0.3722 0.9999
3 Li 0.2444 0.0000 0.2481
4 Li 0.2469 0.0000 0.7533
5 Li 0.2490 0.2498 0.2508
6 Fe 0.0000 0.1259 0.5005
7 Fe 0.0000 0.3770 0.5008
8 O 0.0000 0.1258 0.2717
9 O 0.0000 0.1256 0.7308
10 O 0.0000 0.3767 0.2725
11 O 0.0000 0.3767 0.7297
12 O 0.2176 0.0000 0.5012
13 O 0.2263 0.2417 0.5012
14 O 0.2368 0.5000 0.5009

2.
Starting from a cell relaxed with GGA+U, the powder diffractogram of Tl2Mo3PCO12 was calculated for Cu Kα X-rays.
Peak positions follow from Bragg's law for the DFT cell and can differ from measured ones.

Largest 10 diffraction maxima, by angle, 10 to 90 degrees two-theta:
2theta  intensity  h k l
14.59  616  1 0 0
16.61  347  1 1 0
24.11  583  1 2 1
26.85  463  0 1 2
27.62  332  0 0 2
27.78  1000  1 2 0
27.90  959  2 1 2
28.30  322  2 0 1
29.40  497  2 0 0
49.38  444  2 -2 0

Crystal structure
a b c (Å): 7.3788 7.3816 7.7228
angles (deg): 61.49 61.86 60.06
Space group P1 (No. 1)
Symmetry-distinct sites (fractional):
1 Tl 0.0000 0.0000 0.0000
2 Tl 0.3838 0.3822 0.8526
3 Mo 0.0391 0.4955 0.4912
4 Mo 0.4974 0.9768 0.4900
5 Mo 0.9774 0.0360 0.4923
6 P 0.7101 0.6999 0.8897
7 C 0.5972 0.6169 0.1692
8 O 0.0922 0.7254 0.4661
9 O 0.1175 0.1336 0.2314
10 O 0.1312 0.5176 0.2307
11 O 0.2582 0.8931 0.5832
12 O 0.2704 0.2553 0.5826
13 O 0.4942 0.8340 0.8304
14 O 0.5162 0.1185 0.2300
15 O 0.7168 0.0879 0.4702
16 O 0.7261 0.7170 0.4696
17 O 0.8470 0.8423 0.8188
18 O 0.8526 0.4919 0.8187
19 O 0.8944 0.2672 0.5828